Calculated X-ray powder pattern
Compound: Pr2Sb4Ir3
Radiation: Cu Kα (λ = 1.5418 Å)
Structure: a DFT-relaxed cell (GGA-PBE, Alexandria)
Peak positions follow from Bragg's law for the DFT cell and can differ from measured ones.

Largest 8 diffraction maxima, most intense first, 15 to 90 degrees two-theta:
| d_spacing | intensity |
| --- | --- |
| 2.720 | 100 |
| 2.303 | 48 |
| 2.946 | 47 |
| 2.445 | 44 |
| 1.676 | 27 |
| 2.000 | 16 |
| 2.591 | 15 |
| 2.161 | 13 |

abc: 16.336 4.606 11.102
angles: 90.00 90.00 90.00
Fractional coordinates of all 36 atoms:
Pr: 0.006 0.250 0.248
Pr: 0.249 0.750 0.589
Pr: 0.251 0.250 0.089
Pr: 0.494 0.750 0.748
Pr: 0.506 0.250 0.252
Pr: 0.749 0.750 0.911
Pr: 0.751 0.250 0.411
Pr: 0.994 0.750 0.752
Sb: 0.068 0.750 0.448
Sb: 0.105 0.750 0.062
Sb: 0.151 0.250 0.775
Sb: 0.210 0.250 0.385
Sb: 0.290 0.750 0.885
Sb: 0.349 0.750 0.275
Sb: 0.395 0.250 0.562
Sb: 0.432 0.250 0.948
Sb: 0.568 0.750 0.052
Sb: 0.605 0.750 0.438
Sb: 0.651 0.250 0.725
Sb: 0.710 0.250 0.115
Sb: 0.790 0.750 0.615
Sb: 0.849 0.750 0.225
Sb: 0.895 0.250 0.938
Sb: 0.932 0.250 0.552
Ir: 0.057 0.250 0.965
Ir: 0.093 0.250 0.556
Ir: 0.181 0.750 0.276
Ir: 0.319 0.250 0.776
Ir: 0.407 0.750 0.056
Ir: 0.443 0.750 0.465
Ir: 0.557 0.250 0.535
Ir: 0.593 0.250 0.944
Ir: 0.681 0.750 0.224
Ir: 0.819 0.250 0.724
Ir: 0.907 0.750 0.444
Ir: 0.943 0.750 0.035



Calculated X-ray powder pattern
Compound: PrSc5Ir4
Radiation: Cu Kα (λ = 1.5418 Å)
Structure: a DFT-relaxed cell (GGA-PBE, Alexandria)
Peak positions follow from Bragg's law for the DFT cell and can differ from measured ones.

Largest 8 diffraction maxima, most intense first, 15 to 90 degrees two-theta:
| d_spacing | intensity |
| --- | --- |
| 2.432 | 100 |
| 2.290 | 82 |
| 3.238 | 75 |
| 2.227 | 65 |
| 3.683 | 38 |
| 1.348 | 31 |
| 1.619 | 28 |
| 1.944 | 27 |

abc: 3.238 3.238 18.413
angles: 90.00 90.00 90.00
Fractional coordinates of all 10 atoms:
Pr: 0.000 0.000 0.000
Sc: 0.500 0.500 0.150
Sc: 0.500 0.500 0.324
Sc: 0.500 0.500 0.500
Sc: 0.500 0.500 0.676
Sc: 0.500 0.500 0.850
Ir: 0.000 0.000 0.233
Ir: 0.000 0.000 0.411
Ir: 0.000 0.000 0.589
Ir: 0.000 0.000 0.767



Calculated X-ray powder pattern
Compound: PrSc3Ir
Radiation: Cu Kα (λ = 1.5418 Å)
Structure: a DFT-relaxed cell (GGA-PBE, Alexandria)
Peak positions follow from Bragg's law for the DFT cell and can differ from measured ones.

Largest 8 diffraction maxima, most intense first, 15 to 90 degrees two-theta:
| d_spacing | intensity |
| --- | --- |
| 3.624 | 100 |
| 2.563 | 54 |
| 2.093 | 46 |
| 1.812 | 38 |
| 1.370 | 24 |
| 1.621 | 21 |
| 1.146 | 16 |
| 1.480 | 13 |

abc: 5.126 5.126 5.126
angles: 90.00 90.00 90.00
Fractional coordinates of all 5 atoms:
Pr: 0.000 0.000 0.000
Sc: 0.000 0.500 0.500
Sc: 0.500 0.000 0.500
Sc: 0.500 0.500 0.000
Ir: 0.500 0.500 0.500



Calculated X-ray powder pattern
Compound: PrSc2Ir2
Radiation: Cu Kα (λ = 1.5418 Å)
Structure: a DFT-relaxed cell (GGA-PBE, Alexandria)
Peak positions follow from Bragg's law for the DFT cell and can differ from measured ones.

Largest 8 diffraction maxima, most intense first, 15 to 90 degrees two-theta:
| d_spacing | intensity |
| --- | --- |
| 2.914 | 100 |
| 3.045 | 95 |
| 2.079 | 88 |
| 2.153 | 73 |
| 2.709 | 67 |
| 1.496 | 62 |
| 4.048 | 45 |
| 1.732 | 44 |

abc: 6.671 6.671 6.671
angles: 142.34 142.34 54.31
Fractional coordinates of all 5 atoms:
Pr: 0.000 0.000 0.000
Sc: 0.250 0.750 0.500
Sc: 0.750 0.250 0.500
Ir: 0.389 0.389 0.000
Ir: 0.611 0.611 0.000



Calculated X-ray powder pattern
Compound: Pr5IrSe4
Radiation: Cu Kα (λ = 1.5418 Å)
Structure: a DFT-relaxed cell (GGA-PBE, Alexandria)
Peak positions follow from Bragg's law for the DFT cell and can differ from measured ones.

Largest 8 diffraction maxima, most intense first, 15 to 90 degrees two-theta:
| d_spacing | intensity |
| --- | --- |
| 3.015 | 100 |
| 2.132 | 73 |
| 1.741 | 26 |
| 1.231 | 23 |
| 1.349 | 19 |
| 1.348 | 12 |
| 1.507 | 8 |
| 3.482 | 5 |

abc: 15.395 15.395 15.395
angles: 164.09 164.09 22.58
Fractional coordinates of all 10 atoms:
Pr: 0.000 0.000 0.000
Pr: 0.204 0.204 0.000
Pr: 0.407 0.407 0.000
Pr: 0.593 0.593 0.000
Pr: 0.796 0.796 0.000
Ir: 0.500 0.500 0.000
Se: 0.103 0.103 0.000
Se: 0.305 0.305 0.000
Se: 0.695 0.695 0.000
Se: 0.897 0.897 0.000



Calculated X-ray powder pattern
Compound: Pr3IrSe2
Radiation: Cu Kα (λ = 1.5418 Å)
Structure: a DFT-relaxed cell (GGA-PBE, Alexandria)
Peak positions follow from Bragg's law for the DFT cell and can differ from measured ones.

Largest 8 diffraction maxima, most intense first, 15 to 90 degrees two-theta:
| d_spacing | intensity |
| --- | --- |
| 3.026 | 100 |
| 2.143 | 74 |
| 3.037 | 51 |
| 1.734 | 20 |
| 1.765 | 20 |
| 2.169 | 19 |
| 2.111 | 18 |
| 1.354 | 16 |

abc: 14.049 13.390 7.464
angles: 79.15 69.40 31.45
Fractional coordinates of all 24 atoms:
Pr: 0.038 0.537 0.194
Pr: 0.105 0.645 0.645
Pr: 0.194 0.731 0.038
Pr: 0.269 0.806 0.463
Pr: 0.355 0.895 0.895
Pr: 0.463 0.962 0.269
Pr: 0.537 0.038 0.731
Pr: 0.645 0.105 0.105
Pr: 0.731 0.194 0.537
Pr: 0.806 0.269 0.962
Pr: 0.895 0.355 0.355
Pr: 0.962 0.463 0.806
Ir: 0.041 0.041 0.209
Ir: 0.209 0.209 0.041
Ir: 0.791 0.791 0.959
Ir: 0.959 0.959 0.791
Se: 0.127 0.127 0.623
Se: 0.295 0.295 0.455
Se: 0.377 0.377 0.873
Se: 0.455 0.455 0.295
Se: 0.545 0.545 0.705
Se: 0.623 0.623 0.127
Se: 0.705 0.705 0.545
Se: 0.873 0.873 0.377



Calculated X-ray powder pattern
Compound: Pr3Si2Ir3
Radiation: Cu Kα (λ = 1.5418 Å)
Structure: a DFT-relaxed cell (GGA-PBE, Alexandria)
Peak positions follow from Bragg's law for the DFT cell and can differ from measured ones.

Largest 8 diffraction maxima, most intense first, 15 to 90 degrees two-theta:
| d_spacing | intensity |
| --- | --- |
| 2.373 | 100 |
| 2.715 | 98 |
| 2.919 | 70 |
| 2.704 | 63 |
| 2.385 | 51 |
| 2.668 | 43 |
| 2.199 | 41 |
| 2.450 | 38 |

abc: 7.804 15.002 5.789
angles: 90.00 90.00 90.00
Fractional coordinates of all 32 atoms:
Pr: 0.026 0.109 0.135
Pr: 0.026 0.391 0.135
Pr: 0.170 0.250 0.601
Pr: 0.330 0.750 0.101
Pr: 0.474 0.609 0.635
Pr: 0.474 0.891 0.635
Pr: 0.526 0.109 0.365
Pr: 0.526 0.391 0.365
Pr: 0.670 0.250 0.899
Pr: 0.830 0.750 0.399
Pr: 0.974 0.609 0.865
Pr: 0.974 0.891 0.865
Si: 0.128 0.598 0.372
Si: 0.128 0.902 0.372
Si: 0.372 0.098 0.872
Si: 0.372 0.402 0.872
Si: 0.628 0.598 0.128
Si: 0.628 0.902 0.128
Si: 0.872 0.098 0.628
Si: 0.872 0.402 0.628
Ir: 0.162 0.039 0.605
Ir: 0.162 0.461 0.605
Ir: 0.179 0.750 0.569
Ir: 0.321 0.250 0.069
Ir: 0.338 0.539 0.105
Ir: 0.338 0.961 0.105
Ir: 0.662 0.039 0.895
Ir: 0.662 0.461 0.895
Ir: 0.679 0.750 0.931
Ir: 0.821 0.250 0.431
Ir: 0.838 0.539 0.395
Ir: 0.838 0.961 0.395



Calculated X-ray powder pattern
Compound: Pr3SmIr
Radiation: Cu Kα (λ = 1.5418 Å)
Structure: a DFT-relaxed cell (GGA-PBE, Alexandria)
Peak positions follow from Bragg's law for the DFT cell and can differ from measured ones.

Largest 8 diffraction maxima, most intense first, 15 to 90 degrees two-theta:
| d_spacing | intensity |
| --- | --- |
| 3.024 | 100 |
| 2.985 | 43 |
| 2.350 | 42 |
| 1.953 | 31 |
| 4.021 | 30 |
| 2.331 | 24 |
| 1.823 | 23 |
| 5.015 | 22 |

abc: 7.944 6.731 6.466
angles: 90.00 90.00 90.00
Fractional coordinates of all 10 atoms:
Pr: 0.000 0.154 0.000
Pr: 0.249 0.314 0.504
Pr: 0.251 0.686 0.004
Pr: 0.500 0.846 0.500
Pr: 0.749 0.686 0.004
Pr: 0.751 0.314 0.504
Sm: 0.000 0.841 0.508
Sm: 0.500 0.159 0.008
Ir: 0.000 0.503 0.255
Ir: 0.500 0.497 0.755



Calculated X-ray powder pattern
Compound: Pr2Sm3Ir2
Radiation: Cu Kα (λ = 1.5418 Å)
Structure: a DFT-relaxed cell (GGA-PBE, Alexandria)
Peak positions follow from Bragg's law for the DFT cell and can differ from measured ones.

Largest 8 diffraction maxima, most intense first, 15 to 90 degrees two-theta:
| d_spacing | intensity |
| --- | --- |
| 2.687 | 100 |
| 2.849 | 78 |
| 2.779 | 76 |
| 2.698 | 73 |
| 2.974 | 70 |
| 2.376 | 59 |
| 2.569 | 58 |
| 1.956 | 46 |

abc: 6.537 6.537 9.189
angles: 115.04 115.04 34.83
Fractional coordinates of all 7 atoms:
Pr: 0.168 0.168 0.308
Pr: 0.832 0.832 0.692
Sm: 0.381 0.381 0.071
Sm: 0.500 0.500 0.500
Sm: 0.619 0.619 0.929
Ir: 0.175 0.175 0.742
Ir: 0.825 0.825 0.258



Calculated X-ray powder pattern
Compound: PrSnIr4
Radiation: Cu Kα (λ = 1.5418 Å)
Structure: a DFT-relaxed cell (GGA-PBE, Alexandria)
Peak positions follow from Bragg's law for the DFT cell and can differ from measured ones.

Largest 8 diffraction maxima, most intense first, 15 to 90 degrees two-theta:
| d_spacing | intensity |
| --- | --- |
| 2.301 | 100 |
| 2.203 | 53 |
| 1.469 | 33 |
| 1.349 | 31 |
| 1.151 | 21 |
| 4.407 | 20 |
| 2.699 | 17 |
| 1.164 | 12 |

abc: 5.397 5.397 5.397
angles: 60.00 60.00 60.00
Fractional coordinates of all 6 atoms:
Pr: 0.000 0.000 0.000
Sn: 0.750 0.750 0.750
Ir: 0.376 0.376 0.376
Ir: 0.376 0.376 0.873
Ir: 0.376 0.873 0.376
Ir: 0.873 0.376 0.376



Calculated X-ray powder pattern
Compound: Pr3SnIr
Radiation: Cu Kα (λ = 1.5418 Å)
Structure: a DFT-relaxed cell (GGA-PBE, Alexandria)
Peak positions follow from Bragg's law for the DFT cell and can differ from measured ones.

Largest 8 diffraction maxima, most intense first, 15 to 90 degrees two-theta:
| d_spacing | intensity |
| --- | --- |
| 2.786 | 100 |
| 2.716 | 98 |
| 2.525 | 52 |
| 3.032 | 47 |
| 2.461 | 43 |
| 2.559 | 41 |
| 2.939 | 36 |
| 2.688 | 30 |

abc: 10.473 10.473 6.673
angles: 101.26 101.26 54.23
Fractional coordinates of all 20 atoms:
Pr: 0.124 0.193 0.463
Pr: 0.193 0.124 0.963
Pr: 0.212 0.716 0.973
Pr: 0.267 0.455 0.354
Pr: 0.284 0.788 0.527
Pr: 0.455 0.267 0.854
Pr: 0.545 0.733 0.146
Pr: 0.716 0.212 0.473
Pr: 0.733 0.545 0.646
Pr: 0.788 0.284 0.027
Pr: 0.807 0.876 0.037
Pr: 0.876 0.807 0.537
Sn: 0.080 0.491 0.817
Sn: 0.491 0.080 0.317
Sn: 0.509 0.920 0.683
Sn: 0.920 0.509 0.183
Ir: 0.002 0.998 0.250
Ir: 0.500 0.500 0.250
Ir: 0.500 0.500 0.750
Ir: 0.998 0.002 0.750



Calculated X-ray powder pattern
Compound: Pr4Sn8Ir
Radiation: Cu Kα (λ = 1.5418 Å)
Structure: a DFT-relaxed cell (GGA-PBE, Alexandria)
Peak positions follow from Bragg's law for the DFT cell and can differ from measured ones.

Largest 8 diffraction maxima, most intense first, 15 to 90 degrees two-theta:
| d_spacing | intensity |
| --- | --- |
| 2.809 | 100 |
| 2.294 | 23 |
| 2.256 | 22 |
| 1.404 | 19 |
| 1.608 | 16 |
| 2.881 | 14 |
| 2.428 | 14 |
| 1.387 | 12 |

abc: 4.512 4.588 17.285
angles: 90.00 90.00 90.00
Fractional coordinates of all 13 atoms:
Pr: 0.000 0.000 0.000
Pr: 0.000 0.500 0.490
Pr: 0.500 0.000 0.787
Pr: 0.500 0.500 0.292
Sn: 0.000 0.000 0.329
Sn: 0.000 0.000 0.628
Sn: 0.000 0.500 0.145
Sn: 0.000 0.500 0.855
Sn: 0.500 0.000 0.148
Sn: 0.500 0.000 0.448
Sn: 0.500 0.500 0.626
Sn: 0.500 0.500 0.968
Ir: 0.000 0.500 0.706